The following is a theoretical powder diffractogram of RbCuCl3. It was derived from a crystal structure in the Materials Project, relaxed with GGA-PBE, using Cu Kα, 1.54184 Å.
Kinematic intensities with the Lorentz-polarization factor, no thermal factor.

Main lines, low angle first (10 to 80 degrees two-theta):
2θ = 14.49°, I = 36
2θ = 20.79°, I = 24
2θ = 25.23°, I = 51
2θ = 32.91°, I = 100
2θ = 33.38°, I = 27
2θ = 42.30°, I = 47
2θ = 49.89°, I = 24
2θ = 51.79°, I = 30
2θ = 55.03°, I = 20
2θ = 62.74°, I = 13

Structure:
```
data_RbCuCl3
_chemical_formula_sum 'Rb2 Cu2 Cl6'
_cell_length_a 7.061
_cell_length_b 7.061
_cell_length_c 5.975
_cell_angle_alpha 90.00
_cell_angle_beta 90.00
_cell_angle_gamma 120.00
_space_group_name_H-M_alt 'P 1'
_space_group_IT_number 1
loop_
_space_group_symop_operation_xyz
'x,y,z'
loop_
_atom_site_label
_atom_site_fract_x
_atom_site_fract_y
_atom_site_fract_z
Rb1 0.333 0.667 0.250
Rb2 0.667 0.333 0.750
Cu1 0.000 0.000 0.000
Cu2 0.000 0.000 0.500
Cl1 0.159 0.318 0.750
Cl2 0.159 0.841 0.750
Cl3 0.318 0.159 0.250
Cl4 0.682 0.841 0.750
Cl5 0.841 0.159 0.250
Cl6 0.841 0.682 0.250
```


The following is a theoretical powder diffractogram of Rb2CuCl4. It was derived from a crystal structure in the Materials Project, relaxed with GGA-PBE, using Cu Kα, 1.54184 Å.
Kinematic intensities with the Lorentz-polarization factor, no thermal factor.

Main lines, low angle first (10 to 80 degrees two-theta):
2θ = 10.99°, I = 44
2θ = 24.47°, I = 87
2θ = 25.46°, I = 100
2θ = 33.20°, I = 22
2θ = 33.39°, I = 39
2θ = 33.95°, I = 75
2θ = 36.32°, I = 97
2θ = 44.28°, I = 37
2θ = 50.16°, I = 44
2θ = 52.30°, I = 32

Structure:
```
data_Rb2CuCl4
_chemical_formula_sum 'Rb4 Cu2 Cl8'
_cell_length_a 4.947
_cell_length_b 4.947
_cell_length_c 16.100
_cell_angle_alpha 90.00
_cell_angle_beta 90.00
_cell_angle_gamma 90.00
_space_group_name_H-M_alt 'P 1'
_space_group_IT_number 1
loop_
_space_group_symop_operation_xyz
'x,y,z'
loop_
_atom_site_label
_atom_site_fract_x
_atom_site_fract_y
_atom_site_fract_z
Rb1 0.000 0.000 0.142
Rb2 0.000 0.000 0.858
Rb3 0.500 0.500 0.358
Rb4 0.500 0.500 0.642
Cu1 0.000 0.000 0.500
Cu2 0.500 0.500 0.000
Cl1 0.000 0.000 0.349
Cl2 0.000 0.000 0.651
Cl3 0.000 0.500 0.000
Cl4 0.000 0.500 0.500
Cl5 0.500 0.000 0.000
Cl6 0.500 0.000 0.500
Cl7 0.500 0.500 0.151
Cl8 0.500 0.500 0.849
```


The following is a theoretical powder diffractogram of Rb2CuCl4. It was derived from a crystal structure in the Materials Project, relaxed with GGA-PBE, using Cu Kα, 1.54184 Å.
Kinematic intensities with the Lorentz-polarization factor, no thermal factor.

Main lines, low angle first (10 to 80 degrees two-theta):
2θ = 11.14°, I = 44
2θ = 24.27°, I = 78
2θ = 24.77°, I = 100
2θ = 33.26°, I = 25
2θ = 33.63°, I = 71
2θ = 33.86°, I = 30
2θ = 35.31°, I = 93
2θ = 43.31°, I = 32
2θ = 49.73°, I = 36
2θ = 50.80°, I = 29

Structure:
```
data_Rb2CuCl4
_chemical_formula_sum 'Rb4 Cu2 Cl8'
_cell_length_a 8.716
_cell_length_b 8.716
_cell_length_c 7.193
_cell_angle_alpha 90.00
_cell_angle_beta 90.00
_cell_angle_gamma 48.69
_space_group_name_H-M_alt 'P 1'
_space_group_IT_number 1
loop_
_space_group_symop_operation_xyz
'x,y,z'
loop_
_atom_site_label
_atom_site_fract_x
_atom_site_fract_y
_atom_site_fract_z
Rb1 0.139 0.139 0.000
Rb2 0.361 0.361 0.500
Rb3 0.639 0.639 0.500
Rb4 0.861 0.861 0.000
Cu1 0.000 0.000 0.500
Cu2 0.500 0.500 0.000
Cl1 0.150 0.150 0.500
Cl2 0.227 0.773 0.725
Cl3 0.273 0.727 0.225
Cl4 0.350 0.350 0.000
Cl5 0.650 0.650 0.000
Cl6 0.727 0.273 0.775
Cl7 0.773 0.227 0.275
Cl8 0.850 0.850 0.500
```


The following is a theoretical powder diffractogram of RbCuCl3. It was derived from a crystal structure in the Materials Project, relaxed with GGA-PBE, using Cu Kα, 1.54184 Å.
Kinematic intensities with the Lorentz-polarization factor, no thermal factor.

Main lines, low angle first (10 to 80 degrees two-theta):
2θ = 14.43°, I = 33
2θ = 20.02°, I = 24
2θ = 24.90°, I = 25
2θ = 25.60°, I = 48
2θ = 31.48°, I = 31
2θ = 32.34°, I = 100
2θ = 33.09°, I = 32
2θ = 40.70°, I = 34
2θ = 41.31°, I = 27
2θ = 52.61°, I = 28

Structure:
```
data_RbCuCl3
_chemical_formula_sum 'Rb4 Cu4 Cl12'
_cell_length_a 7.153
_cell_length_b 11.947
_cell_length_c 6.413
_cell_angle_alpha 90.00
_cell_angle_beta 90.00
_cell_angle_gamma 90.00
_space_group_name_H-M_alt 'P 1'
_space_group_IT_number 1
loop_
_space_group_symop_operation_xyz
'x,y,z'
loop_
_atom_site_label
_atom_site_fract_x
_atom_site_fract_y
_atom_site_fract_z
Rb1 0.000 0.162 0.250
Rb2 0.000 0.838 0.750
Rb3 0.500 0.338 0.750
Rb4 0.500 0.662 0.250
Cu1 0.000 0.500 0.000
Cu2 0.000 0.500 0.500
Cu3 0.500 0.000 0.000
Cu4 0.500 0.000 0.500
Cl1 0.000 0.356 0.750
Cl2 0.000 0.644 0.250
Cl3 0.241 0.414 0.175
Cl4 0.241 0.586 0.675
Cl5 0.259 0.086 0.675
Cl6 0.259 0.914 0.175
Cl7 0.500 0.144 0.250
Cl8 0.500 0.856 0.750
Cl9 0.741 0.086 0.825
Cl10 0.741 0.914 0.325
Cl11 0.759 0.414 0.325
Cl12 0.759 0.586 0.825
```


The following is a theoretical powder diffractogram of RbCuCl3. It was derived from a crystal structure in the Materials Project, relaxed with GGA-PBE, using Cu Kα, 1.54184 Å.
Kinematic intensities with the Lorentz-polarization factor, no thermal factor.

Main lines, low angle first (10 to 80 degrees two-theta):
2θ = 14.58°, I = 57
2θ = 20.25°, I = 34
2θ = 25.27°, I = 82
2θ = 25.46°, I = 41
2θ = 32.13°, I = 73
2θ = 32.37°, I = 40
2θ = 32.68°, I = 100
2θ = 32.82°, I = 70
2θ = 41.44°, I = 49
2θ = 51.89°, I = 41

Structure:
```
data_RbCuCl3
_chemical_formula_sum 'Rb4 Cu4 Cl12'
_cell_length_a 7.049
_cell_length_b 7.049
_cell_length_c 12.589
_cell_angle_alpha 90.63
_cell_angle_beta 90.63
_cell_angle_gamma 59.52
_space_group_name_H-M_alt 'P 1'
_space_group_IT_number 1
loop_
_space_group_symop_operation_xyz
'x,y,z'
loop_
_atom_site_label
_atom_site_fract_x
_atom_site_fract_y
_atom_site_fract_z
Rb1 0.165 0.165 0.124
Rb2 0.208 0.133 0.625
Rb3 0.835 0.835 0.876
Rb4 0.867 0.792 0.375
Cu1 0.468 0.532 0.000
Cu2 0.515 0.478 0.250
Cu3 0.522 0.485 0.750
Cu4 0.563 0.437 0.500
Cl1 0.153 0.674 0.099
Cl2 0.257 0.609 0.613
Cl3 0.326 0.847 0.901
Cl4 0.344 0.336 0.838
Cl5 0.370 0.299 0.338
Cl6 0.391 0.743 0.387
Cl7 0.634 0.219 0.110
Cl8 0.664 0.656 0.162
Cl9 0.701 0.630 0.662
Cl10 0.708 0.123 0.600
Cl11 0.781 0.366 0.890
Cl12 0.877 0.292 0.400
```


The following is a theoretical powder diffractogram of Rb3Cu2Cl7. It was derived from a crystal structure in the Materials Project, relaxed with GGA-PBE, using Cu Kα, 1.54184 Å.
Kinematic intensities with the Lorentz-polarization factor, no thermal factor.

Main lines, low angle first (10 to 80 degrees two-theta):
2θ = 24.30°, I = 92
2θ = 24.71°, I = 84
2θ = 32.50°, I = 64
2θ = 34.64°, I = 100
2θ = 35.80°, I = 27
2θ = 43.01°, I = 33
2θ = 49.79°, I = 30
2θ = 50.67°, I = 33
2θ = 56.16°, I = 22
2θ = 56.59°, I = 19

Structure:
```
data_Rb3Cu2Cl7
_chemical_formula_sum 'Rb6 Cu4 Cl14'
_cell_length_a 13.066
_cell_length_b 13.066
_cell_length_c 7.324
_cell_angle_alpha 90.00
_cell_angle_beta 90.00
_cell_angle_gamma 147.44
_space_group_name_H-M_alt 'P 1'
_space_group_IT_number 1
loop_
_space_group_symop_operation_xyz
'x,y,z'
loop_
_atom_site_label
_atom_site_fract_x
_atom_site_fract_y
_atom_site_fract_z
Rb1 0.071 0.929 0.750
Rb2 0.250 0.750 0.750
Rb3 0.429 0.571 0.750
Rb4 0.571 0.429 0.250
Rb5 0.750 0.250 0.250
Rb6 0.929 0.071 0.250
Cu1 0.155 0.845 0.250
Cu2 0.345 0.655 0.250
Cu3 0.655 0.345 0.750
Cu4 0.845 0.155 0.750
Cl1 0.058 0.374 0.534
Cl2 0.060 0.940 0.250
Cl3 0.126 0.442 0.034
Cl4 0.250 0.750 0.250
Cl5 0.374 0.058 0.034
Cl6 0.440 0.560 0.250
Cl7 0.442 0.126 0.534
Cl8 0.558 0.874 0.466
Cl9 0.560 0.440 0.750
Cl10 0.626 0.942 0.966
Cl11 0.750 0.250 0.750
Cl12 0.874 0.558 0.966
Cl13 0.940 0.060 0.750
Cl14 0.942 0.626 0.466
```